Record 1
# BaSi4O9
Theoretical PXRD pattern, Cu Kα. Input: a structure optimized by DFT (PBE).
Neutral-atom scattering factors, no anomalous dispersion.

Cell and atoms:
a = 6.5794 Å, b = 6.5794 Å, c = 9.4700 Å
α = 90.00°, β = 90.00°, γ = 120.00°
Space group P-6c2 (No. 188)
One atom of each set of equivalent atoms:
Ba: 0.0000 0.0000 0.0000 [2 per cell]
Si: 0.0329 0.4554 0.2500 [6 per cell]
Si: 0.6667 0.3333 0.0000 [2 per cell]
O: 0.1463 0.4023 0.7500 [6 per cell]
O: 0.4395 0.1098 0.1069 [12 per cell]

Most intense lines, 15° ≤ 2θ ≤ 90°, low angle first:
15.55 deg, intensity 28, hkl 1 0 0; 24.44 deg, intensity 100, hkl 1 0 2; 27.11 deg, intensity 14, hkl 1 1 0; 31.40 deg, intensity 36, hkl 2 0 0; 33.16 deg, intensity 72, hkl 1 1 2; 41.95 deg, intensity 20, hkl 2 1 0; 46.31 deg, intensity 20, hkl 2 1 2; 50.10 deg, intensity 17, hkl 2 0 4; 51.87 deg, intensity 14, hkl 3 0 2; 61.90 deg, intensity 15, hkl 3 1 2

Record 2
# NbCr3Ag2S8
Theoretical PXRD pattern, Cu Kα. Input: a structure optimized by DFT (PBE).
Neutral-atom scattering factors, no anomalous dispersion.

Cell and atoms:
a = 3.4552 Å, b = 11.2296 Å, c = 12.9516 Å
α = 90.00°, β = 90.00°, γ = 90.00°
Space group Pmn2_1 (No. 31)
One atom of each set of equivalent atoms:
Nb: 0.0000 0.1563 0.0000 [2 per cell]
Cr: 0.0000 0.2043 0.5140 [2 per cell]
Cr: 0.0000 0.6642 0.3032 [2 per cell]
Cr: 0.0000 0.6845 0.7939 [2 per cell]
Ag: 0.0000 0.5014 0.5778 [2 per cell]
Ag: 0.0000 0.9915 0.7305 [2 per cell]
S: 0.0000 0.1724 0.3332 [2 per cell]
S: 0.0000 0.2878 0.6866 [2 per cell]
S: 0.0000 0.3666 0.9283 [2 per cell]
S: 0.0000 0.4539 0.2502 [2 per cell]
S: 0.0000 0.6600 0.9728 [2 per cell]
S: 0.0000 0.7723 0.6189 [2 per cell]
S: 0.0000 0.8701 0.3612 [2 per cell]
S: 0.0000 0.9463 0.0470 [2 per cell]

Most intense lines, 15° ≤ 2θ ≤ 90°, low angle first:
20.94 deg, intensity 32, hkl 0 2 2; 27.53 deg, intensity 100, hkl 0 3 2; 30.38 deg, intensity 34, hkl 1 1 2; 33.21 deg, intensity 29, hkl 1 0 3; 34.18 deg, intensity 85, hkl 1 1 3; 34.83 deg, intensity 32, hkl 0 4 2; 41.45 deg, intensity 39, hkl 1 4 0; 42.05 deg, intensity 48, hkl 1 4 1; 50.49 deg, intensity 38, hkl 1 4 4; 53.01 deg, intensity 33, hkl 2 0 0

Record 3
# TiSiPd
Theoretical PXRD pattern, Cu Kα. Input: a structure optimized by DFT (PBE).
Neutral-atom scattering factors, no anomalous dispersion.

Cell and atoms:
a = 6.3685 Å, b = 3.7828 Å, c = 7.4632 Å
α = 90.00°, β = 90.00°, γ = 90.00°
Space group Pnma (No. 62)
One atom of each set of equivalent atoms:
Ti: 0.0299 0.2500 0.1763 [4 per cell]
Si: 0.2451 0.7500 0.3741 [4 per cell]
Pd: 0.1463 0.2500 0.5626 [4 per cell]

Most intense lines, 15° ≤ 2θ ≤ 90°, low angle first:
18.31 deg, intensity 65, hkl 1 0 1; 29.97 deg, intensity 74, hkl 1 1 1; 36.65 deg, intensity 100, hkl 1 1 2; 36.90 deg, intensity 99, hkl 2 1 0; 38.88 deg, intensity 87, hkl 2 1 1; 43.54 deg, intensity 70, hkl 0 1 3; 44.38 deg, intensity 84, hkl 3 0 1; 46.31 deg, intensity 35, hkl 2 0 3; 48.11 deg, intensity 53, hkl 0 2 0; 67.49 deg, intensity 41, hkl 3 2 1

Record 4
# MgIn2N2
Theoretical PXRD pattern, Cu Kα. Input: a structure optimized by DFT (PBE).
Neutral-atom scattering factors, no anomalous dispersion.

Cell and atoms:
a = 3.3403 Å, b = 3.3403 Å, c = 23.3175 Å
α = 90.00°, β = 90.00°, γ = 120.00°
Space group R-3m (No. 166, hexagonal axes)
One atom of each set of equivalent atoms:
Mg: 0.0000 0.0000 0.0000 [3 per cell]
In: 0.0000 0.0000 0.4390 [6 per cell]
N: 0.0000 0.0000 0.2773 [6 per cell]

Most intense lines, 15° ≤ 2θ ≤ 90°, low angle first:
22.88 deg, intensity 40, hkl 0 0 6; 31.15 deg, intensity 100, hkl 1 0 1; 31.87 deg, intensity 69, hkl 0 1 2; 34.62 deg, intensity 38, hkl 0 0 9; 41.34 deg, intensity 80, hkl 1 0 7; 44.11 deg, intensity 40, hkl 0 1 8; 50.26 deg, intensity 15, hkl 1 0 10; 54.98 deg, intensity 40, hkl 1 1 0; 64.56 deg, intensity 22, hkl 0 2 1; 66.62 deg, intensity 29, hkl 1 1 9

Record 5
# UFe2SiC
Theoretical PXRD pattern, Cu Kα. Input: a structure optimized by DFT (PBE).
Neutral-atom scattering factors, no anomalous dispersion.

Cell and atoms:
a = 3.7080 Å, b = 10.7045 Å, c = 6.5282 Å
α = 90.00°, β = 90.00°, γ = 90.00°
Space group Cmcm (No. 63)
One atom of each set of equivalent atoms:
U: 0.0000 0.0634 0.2500 [4 per cell]
Fe: 0.0000 0.3367 0.0509 [8 per cell]
Si: 0.0000 0.2187 0.7500 [4 per cell]
C: 0.0000 0.5000 0.0000 [4 per cell]

Most intense lines, 15° ≤ 2θ ≤ 90°, low angle first:
21.47 deg, intensity 21, hkl 0 2 1; 25.42 deg, intensity 20, hkl 1 1 0; 32.12 deg, intensity 16, hkl 0 2 2; 34.90 deg, intensity 14, hkl 1 3 0; 36.28 deg, intensity 32, hkl 0 4 1; 37.64 deg, intensity 100, hkl 1 1 2; 44.97 deg, intensity 13, hkl 0 2 3; 49.14 deg, intensity 16, hkl 2 0 0; 55.31 deg, intensity 13, hkl 1 3 3; 62.59 deg, intensity 14, hkl 2 4 1

Record 6
# NbGaOs2
Theoretical PXRD pattern, Cu Kα. Input: a structure optimized by DFT (PBE).
Neutral-atom scattering factors, no anomalous dispersion.

Cell and atoms:
a = 6.2612 Å, b = 6.2612 Å, c = 6.2612 Å
α = 90.00°, β = 90.00°, γ = 90.00°
Space group Fm-3m (No. 225)
One atom of each set of equivalent atoms:
Nb: 0.0000 0.0000 0.0000 [4 per cell]
Ga: 0.0000 0.0000 0.5000 [4 per cell]
Os: 0.2500 0.2500 0.2500 [8 per cell]

Most intense lines, 15° ≤ 2θ ≤ 90°, low angle first:
28.51 deg, intensity 18, hkl 2 0 0; 40.76 deg, intensity 100, hkl 2 2 0; 50.49 deg, intensity 5, hkl 2 2 2; 59.01 deg, intensity 17, hkl 4 0 0; 66.82 deg, intensity 7, hkl 4 2 0; 74.20 deg, intensity 34, hkl 4 2 2; 88.30 deg, intensity 11, hkl 4 4 0

Record 7
# SiO2
Theoretical PXRD pattern, Cu Kα. Input: a structure optimized by DFT (PBE).
Neutral-atom scattering factors, no anomalous dispersion.

Cell and atoms:
a = 4.7471 Å, b = 8.1684 Å, c = 8.6004 Å
α = 90.00°, β = 90.00°, γ = 90.00°
Space group Pccn (No. 56)
One atom of each set of equivalent atoms:
Si: 0.1448 0.0630 0.1590 [8 per cell]
O: 0.0000 0.0000 0.0000 [4 per cell]
O: 0.0860 0.5535 0.2001 [8 per cell]
O: 0.2500 0.2500 0.1390 [4 per cell]

Most intense lines, 15° ≤ 2θ ≤ 90°, low angle first:
20.66 deg, intensity 34, hkl 0 0 2; 21.65 deg, intensity 36, hkl 1 1 0; 21.76 deg, intensity 96, hkl 0 2 0; 23.38 deg, intensity 33, hkl 0 1 2; 24.02 deg, intensity 45, hkl 1 1 1; 28.00 deg, intensity 100, hkl 1 0 2; 30.69 deg, intensity 48, hkl 1 2 1; 49.75 deg, intensity 22, hkl 1 4 1; 55.03 deg, intensity 15, hkl 2 2 3; 68.94 deg, intensity 17, hkl 2 4 3

Record 8
# Ho2C3
Theoretical PXRD pattern, Cu Kα. Input: a structure optimized by DFT (PBE).
Neutral-atom scattering factors, no anomalous dispersion.

Cell and atoms:
a = 8.1894 Å, b = 8.1894 Å, c = 8.1894 Å
α = 90.00°, β = 90.00°, γ = 90.00°
Space group I-43d (No. 220)
One atom of each set of equivalent atoms:
Ho: 0.0504 0.0504 0.0504 [16 per cell]
C: 0.0000 0.2500 0.2931 [24 per cell]

Most intense lines, 15° ≤ 2θ ≤ 90°, low angle first:
26.66 deg, intensity 48, hkl 2 1 1; 30.88 deg, intensity 100, hkl 2 2 0; 34.64 deg, intensity 97, hkl 3 1 0; 41.25 deg, intensity 50, hkl 3 2 1; 52.40 deg, intensity 28, hkl 3 3 2; 57.37 deg, intensity 64, hkl 4 3 1; 62.08 deg, intensity 28, hkl 5 2 1; 75.19 deg, intensity 19, hkl 5 4 1; 87.54 deg, intensity 21, hkl 6 3 3; 89.57 deg, intensity 16, hkl 6 4 2

Record 9
# K2ScInCl6
Theoretical PXRD pattern, Cu Kα. Input: a structure optimized by DFT (PBE).
Neutral-atom scattering factors, no anomalous dispersion.

Cell and atoms:
a = 11.0236 Å, b = 11.0236 Å, c = 11.0236 Å
α = 90.00°, β = 90.00°, γ = 90.00°
Space group Fm-3m (No. 225)
One atom of each set of equivalent atoms:
K: 0.2500 0.2500 0.2500 [8 per cell]
Sc: 0.0000 0.0000 0.0000 [4 per cell]
In: 0.0000 0.0000 0.5000 [4 per cell]
Cl: 0.0000 0.0000 0.2267 [24 per cell]

Most intense lines, 15° ≤ 2θ ≤ 90°, low angle first:
16.08 deg, intensity 71, hkl 2 0 0; 22.82 deg, intensity 78, hkl 2 2 0; 26.82 deg, intensity 22, hkl 3 1 1; 32.49 deg, intensity 100, hkl 4 0 0; 35.50 deg, intensity 23, hkl 3 3 1; 36.45 deg, intensity 30, hkl 4 2 0; 40.07 deg, intensity 31, hkl 4 2 2; 46.61 deg, intensity 62, hkl 4 4 0; 57.96 deg, intensity 19, hkl 4 4 4; 77.44 deg, intensity 21, hkl 8 4 0

Record 10
# Ta2GaC
Theoretical PXRD pattern, Cu Kα. Input: a structure optimized by DFT (PBE).
Neutral-atom scattering factors, no anomalous dispersion.

Cell and atoms:
a = 3.1291 Å, b = 3.1291 Å, c = 13.6253 Å
α = 90.00°, β = 90.00°, γ = 120.00°
Space group P6_3/mmc (No. 194)
One atom of each set of equivalent atoms:
Ta: 0.3333 0.6667 0.0901 [4 per cell]
Ga: 0.3333 0.6667 0.7500 [2 per cell]
C: 0.0000 0.0000 0.0000 [2 per cell]

Most intense lines, 15° ≤ 2θ ≤ 90°, low angle first:
26.16 deg, intensity 7, hkl 0 0 4; 33.06 deg, intensity 23, hkl 1 0 0; 33.72 deg, intensity 11, hkl 1 0 1; 38.69 deg, intensity 100, hkl 1 0 3; 39.69 deg, intensity 19, hkl 0 0 6; 52.58 deg, intensity 14, hkl 1 0 6; 59.04 deg, intensity 21, hkl 1 1 0; 71.37 deg, intensity 15, hkl 1 0 9; 72.85 deg, intensity 16, hkl 2 0 3; 73.51 deg, intensity 19, hkl 1 1 6

Record 11
# K2Pd3Se4
Theoretical PXRD pattern, Cu Kα. Input: a structure optimized by DFT (PBE).
Neutral-atom scattering factors, no anomalous dispersion.

Cell and atoms:
a = 6.4310 Å, b = 11.2186 Å, c = 26.9500 Å
α = 90.00°, β = 90.00°, γ = 90.00°
Space group Fddd (No. 70, origin choice 2)
One atom of each set of equivalent atoms:
K: 0.1250 0.1250 0.0516 [16 per cell]
Pd: 0.1250 0.1250 0.3759 [16 per cell]
Pd: 0.1250 0.1250 0.6250 [8 per cell]
Se: 0.1193 0.2914 0.5637 [32 per cell]

Most intense lines, 15° ≤ 2θ ≤ 90°, low angle first:
16.22 deg, intensity 100, hkl 1 1 1; 17.12 deg, intensity 81, hkl 0 2 2; 18.72 deg, intensity 60, hkl 1 1 3; 27.79 deg, intensity 58, hkl 1 3 1; 34.30 deg, intensity 77, hkl 2 0 6; 34.81 deg, intensity 84, hkl 2 2 4; 36.29 deg, intensity 91, hkl 1 3 7; 41.09 deg, intensity 63, hkl 1 3 9; 42.05 deg, intensity 95, hkl 2 2 8; 56.97 deg, intensity 57, hkl 2 6 0